[1]
Computed powder diffraction line list
Compound: NdGa2Ni3
Radiation: Cu Ka
Structure: the GGA-PBE geometry in the Materials Project
Neutral-atom scattering factors, no anomalous dispersion.

Lattice parameters (Å, degrees): 8.8925 8.8925 4.1496 90.00 90.00 120.00
Space group P-62m (No. 189)
One atom of each set of equivalent atoms:
Nd (0.0000, 0.0000, 0.0000)
Nd (0.3333, 0.6667, 0.5000)
Ga (0.0000, 0.4841, 0.0000)
Ga (0.0000, 0.7266, 0.5000)
Ni (0.0000, 0.2923, 0.5000)
Ni (0.1749, 0.8052, 0.0000)

Peak list (8 most intense, 2θ from 15° to 90°, in order of rising 2θ)
two_theta	I/Imax	index
31.7	74	2 0 1
35.0	41	3 0 0
37.8	100	2 1 1
40.6	66	2 2 0
41.4	79	3 0 1
43.6	57	0 0 2
46.3	41	2 2 1
61.1	38	2 2 2

---

[2]
Computed powder diffraction line list
Compound: Nd3GaNiS7
Radiation: Cu Ka
Structure: the GGA-PBE geometry in the Materials Project
Neutral-atom scattering factors, no anomalous dispersion.

Lattice parameters (Å, degrees): 9.8694 9.8694 6.2016 90.00 90.00 120.00
Space group P6_3 (No. 173)
One atom of each set of equivalent atoms:
Nd (0.1527, 0.3740, 0.0000)
Ga (0.3333, 0.6667, 0.4253)
Ni (0.0000, 0.0000, 0.3125)
S (0.0897, 0.5693, 0.2756)
S (0.0939, 0.2259, 0.5753)
S (0.3333, 0.6667, 0.7899)

Peak list (8 most intense, 2θ from 15° to 90°, in order of rising 2θ)
two_theta	I/Imax	index
17.7	20	1 0 1
25.3	100	2 0 1
27.6	21	1 2 0
34.6	30	3 0 1
35.8	38	2 0 2
36.4	40	2 2 0
40.3	19	1 2 2
48.9	21	2 0 3

---

[3]
Computed powder diffraction line list
Compound: Nd4Ga2O9
Radiation: Cu Ka
Structure: the GGA-PBE geometry in the Materials Project
Neutral-atom scattering factors, no anomalous dispersion.

Lattice parameters (Å, degrees): 7.8179 11.0777 11.6517 90.00 109.00 90.00
Space group P2_1/c (No. 14)
One atom of each set of equivalent atoms:
Nd (0.0223, 0.1059, 0.2833)
Nd (0.1641, 0.6233, 0.5682)
Nd (0.3349, 0.1200, 0.9111)
Nd (0.4766, 0.5911, 0.1939)
Ga (0.1561, 0.1828, 0.6142)
Ga (0.2839, 0.6855, 0.8738)
O (0.0664, 0.0096, 0.8959)
O (0.0671, 0.7492, 0.8868)
O (0.1390, 0.2298, 0.4598)
O (0.2030, 0.0274, 0.6754)
O (0.2657, 0.7290, 0.2317)
O (0.2838, 0.5243, 0.8375)
O (0.2860, 0.2270, 0.2493)
O (0.4221, 0.0059, 0.1053)
O (0.4260, 0.7356, 0.0250)

Peak list (8 most intense, 2θ from 15° to 90°, in order of rising 2θ)
two_theta	I/Imax	index
25.6	17	0 1 3
27.9	100	2 2 -1
29.2	91	0 2 3
33.3	23	2 0 2
33.7	16	2 0 -4
46.5	18	4 0 -2
47.1	15	2 4 2
55.6	16	4 2 1